Simulated XRD peak list of Li4MnCo2O7 for Cu Kα, 1.54184 Å, from a PBE+U-relaxed structure.
Peak positions follow from Bragg's law for the DFT cell and can differ from measured ones.

Principal peaks in the range 10° ≤ 2θ ≤ 90°, low angle first:
| 2theta | I (rel.) |
| --- | --- |
| 18.26 | 100.0 |
| 36.13 | 25.5 |
| 43.49 | 27.3 |
| 43.57 | 56.1 |
| 63.06 | 14.9 |
| 63.45 | 14.0 |

Structural model:
Lattice parameters (Å, degrees): 12.859 2.901 14.472 90.00 111.28 90.00
Space group Cm (No. 8)
Inequivalent atoms, fractional coordinates:
Li 0.000 0.000 0.000 x2
Li 0.005 0.000 0.509 x2
Li 0.074 0.500 0.357 x2
Li 0.142 0.000 0.214 x2
Li 0.211 0.500 0.072 x2
Li 0.294 0.000 0.934 x2
Li 0.363 0.500 0.795 x2
Li 0.428 0.000 0.645 x2
Mn 0.069 0.500 0.864 x2
Mn 0.359 0.500 0.287 x2
Co 0.146 0.000 0.719 x2
Co 0.216 0.500 0.575 x2
Co 0.288 0.000 0.435 x2
Co 0.441 0.000 0.136 x2
O 0.012 0.000 0.764 x2
O 0.070 0.500 0.115 x2
O 0.080 0.500 0.617 x2
O 0.137 0.000 0.954 x2
O 0.150 0.000 0.471 x2
O 0.203 0.500 0.819 x2
O 0.229 0.500 0.329 x2
O 0.280 0.000 0.676 x2
O 0.296 0.000 0.195 x2
O 0.356 0.500 0.536 x2
O 0.361 0.500 0.048 x2
O 0.422 0.000 0.383 x2
O 0.441 0.000 0.892 x2
O 0.487 0.500 0.249 x2